Diffraction record for RbNa2Tl2In2. The powder XRD pattern is theoretical, not measured: it uses a crystal structure in Alexandria, relaxed with PBE and Cu Kα.
Peak positions follow from Bragg's law for the DFT cell and can differ from measured ones.

Main lines, in order of falling intensity (2θ = 5–70°):
| two_theta | I/Imax |
| --- | --- |
| 32.75 | 1000 |
| 38.22 | 695 |
| 28.45 | 678 |
| 22.07 | 604 |
| 32.96 | 553 |
| 35.34 | 512 |
| 18.35 | 414 |
| 17.59 | 405 |
| 8.86 | 389 |
| 27.13 | 384 |

Structural model:
a = 5.6298 Å, b = 5.6298 Å, c = 10.1218 Å
α = 98.63°, β = 98.63°, γ = 49.46°
Sites, in units of the cell vectors:
Rb 0.0000 0.0000 0.0000
Na 0.4275 0.4275 0.3308
Na 0.5725 0.5725 0.6692
Tl 0.2841 0.2841 0.7583
Tl 0.7159 0.7159 0.2417
In 0.1441 0.1441 0.4437
In 0.8559 0.8559 0.5563